[1]
This entry pairs a crystal structure of LuIn2 with its computed powder diffraction line list. Radiation: CuKα. Structure: a structure optimized by DFT (PBE).
Peak positions follow from Bragg's law for the DFT cell and can differ from measured ones.

Largest 10 diffraction maxima, in order of falling intensity, 5° ≤ 2θ ≤ 70°:
- 2θ = 33.50°, intensity 100
- 2θ = 38.77°, intensity 17
- 2θ = 39.34°, intensity 17
- 2θ = 38.53°, intensity 16
- 2θ = 66.85°, intensity 14
- 2θ = 67.62°, intensity 13
- 2θ = 56.42°, intensity 11
- 2θ = 56.24°, intensity 11
- 2θ = 66.52°, intensity 11
- 2θ = 55.81°, intensity 11

Atomic structure:
Cell: 7.3848 7.3848 4.5809 Å, 90.00 90.00 143.34°
Atoms (fractional coordinates):
Lu: 0.1556 0.8444 0.0000
Lu: 0.8444 0.1556 0.0000
In: 0.0000 0.0000 0.5000
In: 0.3251 0.6749 0.5000
In: 0.5000 0.5000 0.0000
In: 0.6749 0.3251 0.5000

=====

[2]
This entry pairs a crystal structure of LuIn with its computed powder diffraction line list. Radiation: CuKα. Structure: a structure optimized by DFT (PBE).
Peak positions follow from Bragg's law for the DFT cell and can differ from measured ones.

Largest 10 diffraction maxima, in order of falling intensity, 5° ≤ 2θ ≤ 70°:
- 2θ = 33.64°, intensity 100
- 2θ = 36.27°, intensity 41
- 2θ = 63.57°, intensity 31
- 2θ = 58.41°, intensity 20
- 2θ = 52.23°, intensity 14
- 2θ = 44.14°, intensity 12
- 2θ = 25.43°, intensity 4
- 2θ = 21.66°, intensity 3
- 2θ = 42.63°, intensity 2
- 2θ = 51.63°, intensity 1

Atomic structure:
Cell: 3.5031 3.5031 4.1033 Å, 90.00 90.00 90.00°
Atoms (fractional coordinates):
Lu: 0.0000 0.0000 0.0000
In: 0.5000 0.5000 0.5000

=====

[3]
This entry pairs a crystal structure of Lu2In with its computed powder diffraction line list. Radiation: CuKα. Structure: a structure optimized by DFT (PBE).
Peak positions follow from Bragg's law for the DFT cell and can differ from measured ones.

Largest 10 diffraction maxima, in order of falling intensity, 5° ≤ 2θ ≤ 70°:
- 2θ = 33.94°, intensity 100
- 2θ = 33.45°, intensity 98
- 2θ = 60.42°, intensity 36
- 2θ = 48.39°, intensity 35
- 2θ = 66.78°, intensity 28
- 2θ = 60.73°, intensity 19
- 2θ = 55.63°, intensity 8
- 2θ = 43.88°, intensity 6
- 2θ = 23.65°, intensity 5
- 2θ = 26.98°, intensity 4

Atomic structure:
Cell: 5.2829 5.2829 6.6091 Å, 90.00 90.00 120.00°
Atoms (fractional coordinates):
Lu: 0.0000 0.0000 0.0000
Lu: 0.0000 0.0000 0.5000
Lu: 0.3333 0.6667 0.2500
Lu: 0.6667 0.3333 0.7500
In: 0.3333 0.6667 0.7500
In: 0.6667 0.3333 0.2500

=====

[4]
This entry pairs a crystal structure of LuMgIn with its computed powder diffraction line list. Radiation: CuKα. Structure: a structure optimized by DFT (PBE).
Peak positions follow from Bragg's law for the DFT cell and can differ from measured ones.

Largest 10 diffraction maxima, in order of falling intensity, 5° ≤ 2θ ≤ 70°:
- 2θ = 33.92°, intensity 100
- 2θ = 30.88°, intensity 65
- 2θ = 66.17°, intensity 35
- 2θ = 54.94°, intensity 33
- 2θ = 27.58°, intensity 26
- 2θ = 23.82°, intensity 25
- 2θ = 39.29°, intensity 25
- 2θ = 48.72°, intensity 22
- 2θ = 41.87°, intensity 19
- 2θ = 36.76°, intensity 18

Atomic structure:
Cell: 7.4684 7.4684 4.5865 Å, 90.00 90.00 120.00°
Atoms (fractional coordinates):
Lu: 0.0000 0.5743 0.0000
Lu: 0.4257 0.4257 0.0000
Lu: 0.5743 0.0000 0.0000
Mg: 0.0000 0.2456 0.5000
Mg: 0.2456 0.0000 0.5000
Mg: 0.7544 0.7544 0.5000
In: 0.0000 0.0000 0.0000
In: 0.3333 0.6667 0.5000
In: 0.6667 0.3333 0.5000